The following is a computed PXRD pattern of DyMn2SbO6. It was derived from a DFT-relaxed cell (PBE+U, Alexandria), using CuKα.
Peak positions follow from Bragg's law for the DFT cell and can differ from measured ones.

Main lines, sorted by position (2θ from 10° to 90°):
- 22.46 deg, d = 3.958 Å, intensity 60.6
- 31.76 deg, d = 2.817 Å, intensity 99.7
- 32.20 deg, d = 2.780 Å, intensity 100.0
- 39.61 deg, d = 2.275 Å, intensity 22.2
- 45.86 deg, d = 1.979 Å, intensity 48.0
- 51.35 deg, d = 1.779 Å, intensity 34.9
- 56.31 deg, d = 1.634 Å, intensity 14.7
- 57.13 deg, d = 1.612 Å, intensity 41.8
- 57.40 deg, d = 1.605 Å, intensity 27.3
- 76.40 deg, d = 1.247 Å, intensity 14.8

Crystal structure
```
DyMn2SbO6
1.0
2.7803 1.6052 4.6311
-2.7803 1.6052 4.6311
0.0000 -3.2105 4.6311
Dy Mn Sb O
1 2 1 6
direct
0.0000 0.0000 0.0000
0.2779 0.2779 0.2779
0.7802 0.7802 0.7802
0.4912 0.4912 0.4912
0.0824 0.6325 0.4207
0.1196 0.5503 0.9553
0.4207 0.0824 0.6325
0.5503 0.9553 0.1196
0.6325 0.4207 0.0824
0.9553 0.1196 0.5503
```